Record 1
This entry pairs a crystal structure of MgWO4 with its simulated X-ray powder pattern. Radiation: Cu Kα (weighted mean of Kα1 and Kα2). Structure: a DFT-relaxed cell (GGA+U, the Materials Project).
No peak broadening, texture or thermal motion is included.

Atomic structure:
```
12
Lattice="5.313 0.000 0.000 0.000 5.078 0.000 -1.663 0.000 5.359" Properties=species:S:1:pos:R:3 pbc="T T T"
Mg -0.416 0.875 1.340
Mg -1.247 4.204 4.020
W 1.409 1.634 4.020
W 2.241 3.445 1.340
O 0.274 0.330 3.332
O 1.106 4.749 0.652
O 0.796 2.411 2.133
O -0.035 2.667 4.813
O 3.685 2.411 0.547
O 2.854 2.667 3.226
O 2.545 0.330 4.707
O 3.376 4.749 2.027
```

Top 10 peaks for 2θ from 10° to 90°, in order of falling intensity:
index	d/Å	I (rel.)
1 0 0	5.075	100
1 1 -1	3.322	97
0 1 1	3.686	67
1 1 1	2.729	60
1 1 0	3.590	28
2 0 -2	2.197	26
0 0 2	2.680	26
1 3 0	1.605	23
0 2 1	2.295	18
2 1 -1	2.323	17

Record 2
This entry pairs a crystal structure of LiCo2P5O15 with its simulated X-ray powder pattern. Radiation: Cu Kα (weighted mean of Kα1 and Kα2). Structure: a DFT-relaxed cell (GGA+U, the Materials Project).
No peak broadening, texture or thermal motion is included.

Atomic structure:
```
46
Lattice="5.275 0.000 0.000 0.000 8.716 0.000 -4.577 0.000 12.829" Properties=species:S:1:pos:R:3 pbc="T T T"
Li 0.000 0.007 0.000
Li -2.288 8.709 6.414
Co 1.935 2.643 6.339
Co -0.354 6.073 12.753
Co 0.880 2.625 11.516
Co 3.169 6.091 5.102
P -0.584 1.590 4.610
P -2.872 7.126 11.024
P 0.392 4.342 3.951
P -1.896 4.374 10.366
P 1.785 4.318 1.139
P -0.503 4.398 7.553
P 2.718 1.542 0.521
P 0.430 7.174 6.935
P 1.436 0.419 8.974
P 3.725 8.297 2.560
O -0.570 0.631 3.326
O -2.858 8.085 9.741
O 0.696 4.246 0.089
O -1.592 4.470 6.503
O -2.832 3.211 10.399
O -0.544 5.505 3.984
O -0.515 3.028 3.907
O -2.803 5.688 10.321
O -3.135 1.300 12.591
O -0.847 7.416 6.176
O 1.072 4.273 2.539
O -1.217 4.443 8.953
O 0.649 1.339 5.411
O -1.639 7.377 11.825
O 2.665 2.984 1.204
O 0.377 5.732 7.619
O 0.463 3.264 7.544
O 2.751 5.452 1.130
O 1.502 4.278 4.981
O -0.786 4.438 11.395
O 2.677 0.587 1.803
O 0.389 8.129 8.218
O -0.540 1.472 12.629
O 1.748 7.244 6.214
O 0.628 1.198 9.957
O 2.917 7.518 3.543
O 2.298 1.054 7.914
O 4.587 7.662 1.499
O 3.358 1.524 5.312
O 1.070 7.192 11.726
```

Top 10 peaks for 2θ from 10° to 90°, in order of falling intensity:
index	d/Å	I (rel.)
1 1 -3	3.607	100
0 0 2	6.414	38
1 0 2	3.412	35
1 1 0	4.316	28
0 2 3	3.052	27
1 2 1	3.015	27
1 1 -2	4.193	25
1 3 0	2.508	23
1 2 0	3.276	21
1 1 2	3.177	18